This entry pairs a crystal structure of SrCaTiMnO6 with its computed XRD peak list. Radiation: Cu Kα X-rays. Structure: a structure optimized by DFT (PBE+U).

Peak list (10 most intense, 2θ = 10–80°, most intense first)
hkl	2θ/deg	I_rel
1 1 2	32.8	100
2 2 0	46.8	34
0 2 0	32.5	18
1 3 2	58.2	17
2 2 4	68.7	16
0 0 4	47.2	15
3 1 2	58.4	15
3 3 2	77.9	10
0 0 1	11.5	9
2 0 4	58.7	8

Atomic structure:
```
data_SrCaTiMnO6
_chemical_formula_sum 'Sr2 Ca2 Ti2 Mn2 O12'
_cell_length_a 5.4752
_cell_length_b 5.5080
_cell_length_c 7.6956
_cell_angle_alpha 90.00
_cell_angle_beta 90.00
_cell_angle_gamma 90.00
_symmetry_space_group_name_H-M 'P m a 2'
_symmetry_Int_Tables_number 28
loop_
_symmetry_equiv_pos_as_xyz
'x,y,z'
'-x,-y,z'
'-x+1/2,y,z'
'x+1/2,-y,z'
loop_
_atom_site_label
_atom_site_type_symbol
_atom_site_fract_x
_atom_site_fract_y
_atom_site_fract_z
Sr1 Sr 0.2500 0.2457 0.0000
Ca1 Ca 0.2500 0.2552 0.4929
Ti1 Ti 0.2500 0.7518 0.7423
Mn1 Mn 0.2500 0.7515 0.2513
O1 O 0.0000 0.0000 0.2167
O2 O 0.0000 0.0000 0.7715
O3 O 0.0000 0.5000 0.2951
O4 O 0.0000 0.5000 0.7118
O5 O 0.2500 0.6979 0.0025
O6 O 0.2500 0.8210 0.4943
```

This entry pairs a crystal structure of SrCaTiMnO6 with its computed XRD peak list. Radiation: Cu Kα X-rays. Structure: a structure optimized by DFT (PBE+U).

Peak list (10 most intense, 2θ = 10–80°, most intense first)
hkl	2θ/deg	I_rel
1 1 0	32.6	100
2 0 0	46.8	45
1 1 4	58.2	36
2 2 0	68.3	24
3 1 0	77.7	15
1 1 2	40.2	14
0 0 1	11.4	8
1 0 1	25.6	7
0 0 3	34.6	5
1 1 3	48.3	3

Atomic structure:
```
data_SrCaTiMnO6
_chemical_formula_sum 'Sr1 Ca1 Ti1 Mn1 O6'
_cell_length_a 3.8861
_cell_length_b 3.8861
_cell_length_c 7.7689
_cell_angle_alpha 90.00
_cell_angle_beta 90.00
_cell_angle_gamma 90.00
_symmetry_space_group_name_H-M 'P 4 m m'
_symmetry_Int_Tables_number 99
loop_
_symmetry_equiv_pos_as_xyz
'x,y,z'
'-y,x,z'
'-x,-y,z'
'y,-x,z'
'-x,y,z'
'y,x,z'
'x,-y,z'
'-y,-x,z'
loop_
_atom_site_label
_atom_site_type_symbol
_atom_site_fract_x
_atom_site_fract_y
_atom_site_fract_z
Sr1 Sr 0.0000 0.0000 0.0000
Ca1 Ca 0.0000 0.0000 0.5206
Ti1 Ti 0.5000 0.5000 0.2599
Mn1 Mn 0.5000 0.5000 0.7504
O1 O 0.0000 0.5000 0.2480
O2 O 0.0000 0.5000 0.7336
O3 O 0.5000 0.5000 0.5001
O4 O 0.5000 0.5000 0.9906
```

This entry pairs a crystal structure of SrCaTiMnO6 with its computed XRD peak list. Radiation: Cu Kα X-rays. Structure: a structure optimized by DFT (PBE+U).

Peak list (10 most intense, 2θ = 10–80°, most intense first)
hkl	2θ/deg	I_rel
1 1 2	32.8	100
0 0 4	47.1	42
3 1 2	58.6	39
0 4 0	68.8	21
1 1 6	78.3	15
0 2 2	40.5	12
1 1 1	25.8	8
0 0 1	11.5	7
0 0 3	34.9	5
0 2 3	48.6	3

Atomic structure:
```
data_SrCaTiMnO6
_chemical_formula_sum 'Sr2 Ca2 Ti2 Mn2 O12'
_cell_length_a 5.4607
_cell_length_b 5.4596
_cell_length_c 7.7158
_cell_angle_alpha 90.00
_cell_angle_beta 90.03
_cell_angle_gamma 90.00
_symmetry_space_group_name_H-M 'P 1 21 1'
_symmetry_Int_Tables_number 4
loop_
_symmetry_equiv_pos_as_xyz
'x,y,z'
'-x,y+1/2,-z'
loop_
_atom_site_label
_atom_site_type_symbol
_atom_site_fract_x
_atom_site_fract_y
_atom_site_fract_z
Sr1 Sr 0.2468 0.0000 0.0006
Ca1 Ca 0.2538 0.9584 0.5000
Ti1 Ti 0.2475 0.4839 0.7450
Mn1 Mn 0.2487 0.4845 0.2539
O1 O 0.0217 0.7615 0.7703
O2 O 0.0253 0.7567 0.2300
O3 O 0.1875 0.4972 0.4974
O4 O 0.2938 0.4831 0.0025
O5 O 0.4716 0.2130 0.2851
O6 O 0.4788 0.2088 0.7147
```